[1]
# PrAl11Cr
Theoretical powder diffraction line list, λ = 1.5418 Å (Cu Kα). Input: a cell relaxed with GGA-PBE.

a b c (Å): 6.8914 6.8914 7.1710
angles (deg): 97.79 97.79 135.21
Sites, in units of the cell vectors:
1 Pr 0.0000 0.0000 0.0000
2 Al 0.0000 0.0000 0.5000
3 Al 0.0000 0.5000 0.0000
4 Al 0.0281 0.3727 0.3635
5 Al 0.2833 0.5003 0.7718
6 Al 0.3727 0.0281 0.3635
7 Al 0.5000 0.0000 0.0000
8 Al 0.5003 0.2833 0.7718
9 Al 0.4997 0.7167 0.2282
10 Al 0.6273 0.9719 0.6365
11 Al 0.7167 0.4997 0.2282
12 Al 0.9719 0.6273 0.6365
13 Cr 0.5000 0.5000 0.5000

Top 12 peaks for 10° ≤ 2θ ≤ 90°, most intense first:
| two_theta | d (Å) | I (rel.) |
| --- | --- | --- |
| 39.01 | 2.309 | 1000 |
| 39.90 | 2.260 | 831 |
| 39.35 | 2.290 | 747 |
| 19.51 | 4.550 | 724 |
| 13.90 | 6.372 | 719 |
| 27.83 | 3.205 | 636 |
| 39.62 | 2.275 | 628 |
| 33.64 | 2.665 | 624 |
| 38.53 | 2.337 | 578 |
| 26.98 | 3.304 | 517 |
| 38.19 | 2.357 | 422 |
| 33.87 | 2.647 | 385 |

---

[2]
# InAg2Au3
Theoretical powder diffraction line list, λ = 1.5418 Å (Cu Kα). Input: a cell relaxed with GGA-PBE.

a b c (Å): 4.8038 9.3864 4.9564
angles (deg): 90.00 90.00 90.00
Sites, in units of the cell vectors:
1 In 0.2500 0.2500 0.0687
2 In 0.7500 0.7500 0.9313
3 Ag 0.2500 0.5833 0.0716
4 Ag 0.2500 0.9167 0.0716
5 Ag 0.7500 0.0833 0.9284
6 Ag 0.7500 0.4167 0.9284
7 Au 0.2500 0.0816 0.5724
8 Au 0.2500 0.4184 0.5724
9 Au 0.2500 0.7500 0.5705
10 Au 0.7500 0.2500 0.4295
11 Au 0.7500 0.5816 0.4276
12 Au 0.7500 0.9184 0.4276

Top 12 peaks for 10° ≤ 2θ ≤ 90°, most intense first:
| two_theta | d (Å) | I (rel.) |
| --- | --- | --- |
| 38.86 | 2.317 | 1000 |
| 37.44 | 2.402 | 341 |
| 40.98 | 2.202 | 324 |
| 68.49 | 1.370 | 187 |
| 33.88 | 2.646 | 168 |
| 76.29 | 1.248 | 162 |
| 36.25 | 2.478 | 145 |
| 63.70 | 1.461 | 135 |
| 17.90 | 4.956 | 112 |
| 74.38 | 1.275 | 111 |
| 79.93 | 1.200 | 110 |
| 59.06 | 1.564 | 104 |

---

[3]
# Tb4Pr2Er
Theoretical powder diffraction line list, λ = 1.5418 Å (Cu Kα). Input: a cell relaxed with GGA-PBE.

a b c (Å): 11.4490 11.4490 7.2854
angles (deg): 90.00 90.00 90.00
Sites, in units of the cell vectors:
1 Tb 0.0328 0.7500 0.0014
2 Tb 0.0329 0.7500 0.4979
3 Tb 0.2500 0.5329 0.0021
4 Tb 0.2500 0.5328 0.4986
5 Tb 0.2500 0.9671 0.0021
6 Tb 0.2500 0.9672 0.4986
7 Tb 0.4672 0.7500 0.0014
8 Tb 0.4671 0.7500 0.4979
9 Tb 0.5329 0.2500 0.5021
10 Tb 0.5328 0.2500 0.9986
11 Tb 0.7500 0.0328 0.5014
12 Tb 0.7500 0.0329 0.9979
13 Tb 0.7500 0.4672 0.5014
14 Tb 0.7500 0.4671 0.9979
15 Tb 0.9671 0.2500 0.5021
16 Tb 0.9672 0.2500 0.9986
17 Pr 0.0015 0.5015 0.7500
18 Pr 0.0015 0.9985 0.7500
19 Pr 0.4985 0.5015 0.7500
20 Pr 0.4985 0.9985 0.7500
21 Pr 0.5015 0.0015 0.2500
22 Pr 0.5015 0.4985 0.2500
23 Pr 0.9985 0.0015 0.2500
24 Pr 0.9985 0.4985 0.2500
25 Er 0.2500 0.2500 0.2506
26 Er 0.2500 0.2500 0.7506
27 Er 0.7500 0.7500 0.2494
28 Er 0.7500 0.7500 0.7494

Top 12 peaks for 10° ≤ 2θ ≤ 90°, most intense first:
| two_theta | d (Å) | I (rel.) |
| --- | --- | --- |
| 33.08 | 2.708 | 1000 |
| 31.25 | 2.862 | 528 |
| 56.80 | 1.621 | 337 |
| 47.57 | 1.911 | 175 |
| 60.22 | 1.537 | 163 |
| 24.59 | 3.620 | 163 |
| 44.78 | 2.024 | 158 |
| 26.84 | 3.322 | 141 |
| 33.20 | 2.699 | 132 |
| 50.08 | 1.821 | 86 |
| 69.42 | 1.354 | 85 |
| 62.81 | 1.480 | 77 |

---

[4]
# Cu3PdPt7
Theoretical powder diffraction line list, λ = 1.5418 Å (Cu Kα). Input: a cell relaxed with GGA-PBE.

a b c (Å): 5.4640 5.4640 6.6394
angles (deg): 90.00 90.00 120.00
Sites, in units of the cell vectors:
1 Cu 0.0008 0.5004 0.0000
2 Cu 0.4996 0.5004 0.0000
3 Cu 0.4996 0.9992 0.0000
4 Pd 0.6667 0.3333 0.3160
5 Pt 0.1655 0.3310 0.3158
6 Pt 0.1655 0.8345 0.3158
7 Pt 0.3313 0.1656 0.6835
8 Pt 0.3333 0.6667 0.6821
9 Pt 0.6690 0.8345 0.3158
10 Pt 0.8344 0.1656 0.6835
11 Pt 0.8344 0.6687 0.6835

Top 12 peaks for 10° ≤ 2θ ≤ 90°, most intense first:
| two_theta | d (Å) | I (rel.) |
| --- | --- | --- |
| 40.47 | 2.229 | 1000 |
| 47.17 | 1.927 | 555 |
| 40.77 | 2.213 | 261 |
| 13.34 | 6.639 | 230 |
| 69.13 | 1.359 | 218 |
| 83.09 | 1.162 | 201 |
| 26.86 | 3.320 | 183 |
| 68.72 | 1.366 | 183 |
| 82.89 | 1.165 | 128 |
| 38.03 | 2.366 | 103 |
| 87.55 | 1.114 | 97 |
| 56.98 | 1.616 | 95 |